Theoretical powder XRD pattern of PmCoF6 for Cu Kα (weighted mean of Kα1 and Kα2), from DFT lattice parameters and positions (PBE+U).
Neutral-atom scattering factors, no anomalous dispersion.

Principal peaks in the range 2θ = 10–90°, by angle:
d (Å), I/Imax
4.436, 18
3.907, 64
3.615, 100
3.110, 64
2.217, 32
2.123, 27
2.066, 49
2.039, 17
1.808, 16
1.753, 17

```
8
Lattice="2.740 -3.907 0.000 2.740 3.907 0.000 -0.941 0.000 5.056" Properties=species:S:1:pos:R:3 pbc="T T T"
Pm 0.000 0.000 0.000
Co 2.270 0.000 2.528
F 1.569 1.269 1.189
F 0.613 0.000 3.377
F 1.569 -1.269 1.189
F 2.971 1.269 3.867
F 3.927 0.000 1.679
F 2.971 -1.269 3.867
```